# 1
# BaInIBr4
Computed X-ray diffraction stick pattern, CuKα. Input: the GGA-PBE geometry in Alexandria.

Structural model:
```
data_BaInIBr4
_cell_length_a 13.016
_cell_length_b 10.628
_cell_length_c 9.809
_cell_angle_alpha 90.00
_cell_angle_beta 103.96
_cell_angle_gamma 90.00
_space_group_name_H-M_alt 'C 1 2/m 1'
_space_group_IT_number 12
loop_
_space_group_symop_operation_xyz
'x,y,z'
'-x,-y,-z'
'-x,y,-z'
'x,-y,z'
'x+1/2,y+1/2,z'
'-x+1/2,-y+1/2,-z'
'-x+1/2,y+1/2,-z'
'x+1/2,-y+1/2,z'
loop_
_atom_site_label
_atom_site_type_symbol
_atom_site_fract_x
_atom_site_fract_y
_atom_site_fract_z
_atom_site_occupancy
Ba1 Ba 0.201 0.000 0.104 1
In1 In 0.142 0.500 0.274 1
I1 I 0.027 0.000 0.790 1
Br1 Br 0.047 0.500 0.698 1
Br2 Br 0.165 0.321 0.104 1
Br3 Br 0.221 0.000 0.498 1
```

Top 10 peaks for 2θ from 10° to 90°, sorted by position:
| (hkl) | d [Å] | 2θ/deg | intensity |
| --- | --- | --- | --- |
| 0 2 0 | 5.314 | 16.68 | 100.0 |
| 2 0 1 | 4.760 | 18.64 | 26.9 |
| 2 0 2 | 3.424 | 26.02 | 77.3 |
| 2 2 -2 | 3.361 | 26.52 | 32.1 |
| 4 0 -1 | 3.240 | 27.53 | 28.3 |
| 1 3 -2 | 2.862 | 31.25 | 24.1 |
| 1 1 3 | 2.812 | 31.82 | 25.7 |
| 0 4 0 | 2.657 | 33.73 | 23.4 |
| 3 3 -2 | 2.530 | 35.48 | 29.1 |
| 1 3 3 | 2.251 | 40.05 | 38.8 |



# 2
# KBaIBr
Computed X-ray diffraction stick pattern, CuKα. Input: the GGA-PBE geometry in Alexandria.

Structural model:
```
data_KBaIBr
_cell_length_a 5.8106
_cell_length_b 5.8106
_cell_length_c 38.7247
_cell_angle_alpha 90.00
_cell_angle_beta 90.00
_cell_angle_gamma 120.00
_space_group_name_H-M_alt 'R -3 m'
_space_group_IT_number 166
_space_group_name_Hall '-R 3 2"'
loop_
_atom_site_label
_atom_site_type_symbol
_atom_site_fract_x
_atom_site_fract_y
_atom_site_fract_z
_atom_site_occupancy
K1 K 0.0000 0.0000 0.1234 1
Ba1 Ba 0.0000 0.0000 0.2959 1
I1 I 0.0000 0.0000 0.3950 1
Br1 Br 0.0000 0.0000 0.2086 1
```

Top 10 peaks for 2θ from 10° to 90°, sorted by position:
| (hkl) | d [Å] | 2θ/deg | intensity |
| --- | --- | --- | --- |
| 1 0 1 | 4.990 | 17.77 | 19.2 |
| 0 1 2 | 4.870 | 18.22 | 56.5 |
| 0 0 12 | 3.227 | 27.64 | 20.0 |
| 1 0 10 | 3.069 | 29.10 | 82.7 |
| 1 1 0 | 2.905 | 30.78 | 100.0 |
| 1 1 12 | 2.159 | 41.84 | 37.9 |
| 0 2 10 | 2.110 | 42.86 | 28.3 |
| 2 1 10 | 1.707 | 53.69 | 28.9 |
| 3 0 0 | 1.677 | 54.72 | 18.8 |
| 1 3 10 | 1.313 | 71.91 | 12.1 |



# 3
# BaLiIBr2
Computed X-ray diffraction stick pattern, CuKα. Input: the GGA-PBE geometry in Alexandria.

Structural model:
```
data_BaLiIBr2
_cell_length_a 5.167
_cell_length_b 5.167
_cell_length_c 6.796
_cell_angle_alpha 90.00
_cell_angle_beta 90.00
_cell_angle_gamma 90.00
_space_group_name_H-M_alt 'P 4 m m'
_space_group_IT_number 99
loop_
_space_group_symop_operation_xyz
'x,y,z'
'-y,x,z'
'-x,-y,z'
'y,-x,z'
'-x,y,z'
'y,x,z'
'x,-y,z'
'-y,-x,z'
loop_
_atom_site_label
_atom_site_type_symbol
_atom_site_fract_x
_atom_site_fract_y
_atom_site_fract_z
_atom_site_occupancy
Ba1 Ba 0.000 0.000 0.000 1
Li1 Li 0.500 0.500 0.383 1
I1 I 0.500 0.500 0.804 1
Br1 Br 0.000 0.500 0.291 1
```

Top 10 peaks for 2θ from 10° to 90°, sorted by position:
| (hkl) | d [Å] | 2θ/deg | intensity |
| --- | --- | --- | --- |
| 0 0 1 | 6.796 | 13.03 | 22.5 |
| 1 0 1 | 4.113 | 21.61 | 33.9 |
| 1 1 1 | 3.218 | 27.72 | 100.0 |
| 1 0 2 | 2.839 | 31.51 | 35.3 |
| 2 0 0 | 2.583 | 34.73 | 41.6 |
| 1 0 3 | 2.075 | 43.62 | 14.5 |
| 2 1 2 | 1.911 | 47.59 | 22.0 |
| 2 2 0 | 1.827 | 49.93 | 14.6 |
| 2 1 3 | 1.618 | 56.92 | 13.1 |
| 3 1 1 | 1.589 | 58.06 | 24.2 |



# 4
# Ba10IBr4N5
Computed X-ray diffraction stick pattern, CuKα. Input: the GGA-PBE geometry in Alexandria.

Structural model:
```
data_Ba10IBr4N5
_cell_length_a 7.278
_cell_length_b 8.423
_cell_length_c 11.119
_cell_angle_alpha 73.58
_cell_angle_beta 70.90
_cell_angle_gamma 81.74
_space_group_name_H-M_alt 'P -1'
_space_group_IT_number 2
loop_
_space_group_symop_operation_xyz
'x,y,z'
'-x,-y,-z'
loop_
_atom_site_label
_atom_site_type_symbol
_atom_site_fract_x
_atom_site_fract_y
_atom_site_fract_z
_atom_site_occupancy
Ba1 Ba 0.045 0.321 0.139 1
Ba2 Ba 0.153 0.686 0.461 1
Ba3 Ba 0.250 0.320 0.732 1
Ba4 Ba 0.361 0.682 0.065 1
Ba5 Ba 0.446 0.313 0.338 1
I1 I 0.000 0.000 0.000 1
Br1 Br 0.200 0.000 0.599 1
Br2 Br 0.400 0.000 0.201 1
N1 N 0.101 0.499 0.302 1
N2 N 0.302 0.502 0.898 1
N3 N 0.500 0.500 0.500 1
```

Top 10 peaks for 2θ from 10° to 90°, sorted by position:
| (hkl) | d [Å] | 2θ/deg | intensity |
| --- | --- | --- | --- |
| 2 0 1 | 3.599 | 24.74 | 17.2 |
| 2 1 1 | 3.485 | 25.56 | 26.5 |
| 1 2 3 | 3.118 | 28.63 | 100.0 |
| 1 -1 3 | 2.909 | 30.74 | 47.0 |
| 0 3 0 | 2.689 | 33.32 | 22.3 |
| 2 3 1 | 2.326 | 38.71 | 19.3 |
| 3 1 4 | 2.101 | 43.05 | 40.4 |
| 4 2 2 | 1.742 | 52.52 | 17.5 |
| 1 5 3 | 1.656 | 55.50 | 36.1 |
| 4 6 7 | 1.106 | 88.38 | 17.7 |



# 5
# Ba10IBr4N5
Computed X-ray diffraction stick pattern, CuKα. Input: the GGA-PBE geometry in Alexandria.

Structural model:
```
data_Ba10IBr4N5
_cell_length_a 4.2007
_cell_length_b 4.2007
_cell_length_c 120.9265
_cell_angle_alpha 90.00
_cell_angle_beta 90.00
_cell_angle_gamma 120.00
_space_group_name_H-M_alt 'R -3 m'
_space_group_IT_number 166
_space_group_name_Hall '-R 3 2"'
loop_
_atom_site_label
_atom_site_type_symbol
_atom_site_fract_x
_atom_site_fract_y
_atom_site_fract_z
_atom_site_occupancy
Ba1 Ba 0.0000 0.0000 0.0471 1
Ba2 Ba 0.0000 0.0000 0.1545 1
Ba3 Ba 0.0000 0.0000 0.2448 1
Ba4 Ba 0.0000 0.0000 0.3561 1
Ba5 Ba 0.0000 0.0000 0.4463 1
I1 I 0.0000 0.0000 0.0000 1
Br1 Br 0.0000 0.0000 0.1996 1
Br2 Br 0.0000 0.0000 0.4012 1
N1 N 0.0000 0.0000 0.1007 1
N2 N 0.0000 0.0000 0.2984 1
N3 N 0.0000 0.0000 0.5000 1
```

Top 10 peaks for 2θ from 10° to 90°, sorted by position:
| (hkl) | d [Å] | 2θ/deg | intensity |
| --- | --- | --- | --- |
| 0 1 5 | 3.597 | 24.75 | 17.4 |
| 1 0 10 | 3.484 | 25.57 | 26.8 |
| 0 1 20 | 3.117 | 28.64 | 100.0 |
| 1 0 25 | 2.907 | 30.75 | 46.5 |
| 0 0 45 | 2.687 | 33.34 | 20.8 |
| 1 0 40 | 2.325 | 38.73 | 18.6 |
| 1 1 0 | 2.100 | 43.07 | 41.3 |
| 2 0 20 | 1.742 | 52.54 | 18.4 |
| 1 1 45 | 1.655 | 55.51 | 42.5 |
| 3 0 45 | 1.106 | 88.43 | 16.9 |



# 6
# BaIBrN2
Computed X-ray diffraction stick pattern, CuKα. Input: the GGA-PBE geometry in Alexandria.

Structural model:
```
data_BaIBrN2
_cell_length_a 4.723
_cell_length_b 4.723
_cell_length_c 5.457
_cell_angle_alpha 90.00
_cell_angle_beta 90.00
_cell_angle_gamma 90.00
_space_group_name_H-M_alt 'P 4/m m m'
_space_group_IT_number 123
_space_group_name_Hall '-P 4 2'
loop_
_atom_site_label
_atom_site_type_symbol
_atom_site_fract_x
_atom_site_fract_y
_atom_site_fract_z
_atom_site_occupancy
Ba1 Ba 0.000 0.000 0.000 1
I1 I 0.500 0.500 0.000 1
Br1 Br 0.500 0.500 0.500 1
N1 N 0.000 0.500 0.500 1
```

Top 10 peaks for 2θ from 10° to 90°, sorted by position:
| (hkl) | d [Å] | 2θ/deg | intensity |
| --- | --- | --- | --- |
| 0 0 1 | 5.457 | 16.24 | 34.4 |
| 1 1 0 | 3.339 | 26.69 | 100.0 |
| 1 1 1 | 2.848 | 31.41 | 56.1 |
| 0 0 2 | 2.728 | 32.82 | 40.8 |
| 2 0 0 | 2.361 | 38.11 | 58.1 |
| 1 1 2 | 2.113 | 42.80 | 59.9 |
| 2 0 2 | 1.786 | 51.16 | 44.3 |
| 2 2 0 | 1.670 | 54.99 | 20.8 |
| 2 2 2 | 1.424 | 65.54 | 20.7 |
| 3 1 2 | 1.310 | 72.10 | 26.3 |



# 7
# Ba4PbI2Br
Computed X-ray diffraction stick pattern, CuKα. Input: the GGA-PBE geometry in Alexandria.

Structural model:
```
data_Ba4PbI2Br
_cell_length_a 8.492
_cell_length_b 5.096
_cell_length_c 8.809
_cell_angle_alpha 90.00
_cell_angle_beta 109.84
_cell_angle_gamma 90.00
_space_group_name_H-M_alt 'P 1 2/m 1'
_space_group_IT_number 10
loop_
_space_group_symop_operation_xyz
'x,y,z'
'-x,-y,-z'
'-x,y,-z'
'x,-y,z'
loop_
_atom_site_label
_atom_site_type_symbol
_atom_site_fract_x
_atom_site_fract_y
_atom_site_fract_z
_atom_site_occupancy
Ba1 Ba 0.237 0.000 0.226 1
Ba2 Ba 0.248 0.500 0.771 1
Pb1 Pb 0.000 0.500 0.000 1
I1 I 0.000 0.000 0.500 1
I2 I 0.500 0.500 0.500 1
Br1 Br 0.500 0.000 0.000 1
```

Top 10 peaks for 2θ from 10° to 90°, sorted by position:
| (hkl) | d [Å] | 2θ/deg | intensity |
| --- | --- | --- | --- |
| 1 1 1 | 3.558 | 25.03 | 100.0 |
| 2 0 -2 | 3.537 | 25.18 | 48.9 |
| 0 2 0 | 2.546 | 35.26 | 59.6 |
| 2 0 2 | 2.485 | 36.15 | 18.2 |
| 3 1 -1 | 2.474 | 36.31 | 38.1 |
| 2 2 -2 | 2.069 | 43.76 | 31.8 |
| 4 0 0 | 1.997 | 45.42 | 9.9 |
| 2 2 2 | 1.779 | 51.36 | 13.2 |
| 1 3 1 | 1.607 | 57.32 | 18.7 |
| 4 2 0 | 1.572 | 58.74 | 9.4 |



# 8
# Ba4Te2IBr
Computed X-ray diffraction stick pattern, CuKα. Input: the GGA-PBE geometry in Alexandria.

Structural model:
```
data_Ba4Te2IBr
_cell_length_a 6.969
_cell_length_b 6.969
_cell_length_c 13.878
_cell_angle_alpha 90.00
_cell_angle_beta 90.00
_cell_angle_gamma 90.00
_space_group_name_H-M_alt 'I 4/m m m'
_space_group_IT_number 139
_space_group_name_Hall '-I 4 2'
loop_
_atom_site_label
_atom_site_type_symbol
_atom_site_fract_x
_atom_site_fract_y
_atom_site_fract_z
_atom_site_occupancy
Ba1 Ba 0.000 0.000 0.245 1
Ba2 Ba 0.000 0.500 0.000 1
Te1 Te 0.000 0.500 0.250 1
I1 I 0.000 0.000 0.500 1
Br1 Br 0.000 0.000 0.000 1
```

Top 10 peaks for 2θ from 10° to 90°, sorted by position:
| (hkl) | d [Å] | 2θ/deg | intensity |
| --- | --- | --- | --- |
| 2 0 0 | 3.485 | 25.56 | 85.9 |
| 0 0 4 | 3.469 | 25.68 | 42.3 |
| 2 2 0 | 2.460 | 36.52 | 100.0 |
| 2 2 4 | 2.009 | 45.13 | 36.3 |
| 4 0 0 | 1.742 | 52.52 | 11.6 |
| 4 2 0 | 1.558 | 59.33 | 32.1 |
| 2 0 8 | 1.553 | 59.53 | 15.6 |
| 4 2 4 | 1.422 | 65.68 | 23.6 |
| 2 2 8 | 1.418 | 65.84 | 11.6 |
| 4 2 8 | 1.159 | 83.36 | 12.2 |



# 9
# Ba5InBr5
Computed X-ray diffraction stick pattern, CuKα. Input: the GGA-PBE geometry in Alexandria.

Structural model:
```
data_Ba5InBr5
_cell_length_a 15.680
_cell_length_b 6.794
_cell_length_c 9.853
_cell_angle_alpha 90.00
_cell_angle_beta 108.49
_cell_angle_gamma 90.00
_space_group_name_H-M_alt 'C 1 2/m 1'
_space_group_IT_number 12
loop_
_space_group_symop_operation_xyz
'x,y,z'
'-x,-y,-z'
'-x,y,-z'
'x,-y,z'
'x+1/2,y+1/2,z'
'-x+1/2,-y+1/2,-z'
'-x+1/2,y+1/2,-z'
'x+1/2,-y+1/2,z'
loop_
_atom_site_label
_atom_site_type_symbol
_atom_site_fract_x
_atom_site_fract_y
_atom_site_fract_z
_atom_site_occupancy
Ba1 Ba 0.000 0.000 0.000 1
Ba2 Ba 0.156 0.500 0.832 1
Ba3 Ba 0.157 0.500 0.323 1
In1 In 0.000 0.500 0.000 1
Br1 Br 0.000 0.500 0.500 1
Br2 Br 0.179 0.000 0.843 1
Br3 Br 0.184 0.000 0.340 1
```

Top 10 peaks for 2θ from 10° to 90°, sorted by position:
| (hkl) | d [Å] | 2θ/deg | intensity |
| --- | --- | --- | --- |
| 1 1 0 | 6.179 | 14.33 | 14.0 |
| 2 0 2 | 3.494 | 25.49 | 100.0 |
| 0 2 0 | 3.397 | 26.24 | 48.5 |
| 6 0 0 | 2.479 | 36.24 | 17.5 |
| 2 0 -4 | 2.463 | 36.48 | 20.0 |
| 2 2 2 | 2.436 | 36.91 | 75.0 |
| 6 2 0 | 2.002 | 45.29 | 18.5 |
| 2 2 -4 | 1.994 | 45.49 | 21.2 |
| 0 0 6 | 1.556 | 59.39 | 12.7 |
| 2 4 2 | 1.528 | 60.62 | 17.3 |



# 10
# BaIn2Br
Computed X-ray diffraction stick pattern, CuKα. Input: the GGA-PBE geometry in Alexandria.

Structural model:
```
data_BaIn2Br
_cell_length_a 4.321
_cell_length_b 4.768
_cell_length_c 13.544
_cell_angle_alpha 90.00
_cell_angle_beta 90.00
_cell_angle_gamma 90.00
_space_group_name_H-M_alt 'I m m m'
_space_group_IT_number 71
_space_group_name_Hall '-I 2 2'
loop_
_atom_site_label
_atom_site_type_symbol
_atom_site_fract_x
_atom_site_fract_y
_atom_site_fract_z
_atom_site_occupancy
Ba1 Ba 0.000 0.000 0.000 1
In1 In 0.000 0.500 0.254 1
Br1 Br 0.000 0.000 0.500 1
```

Top 10 peaks for 2θ from 10° to 90°, sorted by position:
| (hkl) | d [Å] | 2θ/deg | intensity |
| --- | --- | --- | --- |
| 0 0 4 | 3.386 | 26.32 | 37.7 |
| 1 1 2 | 2.894 | 30.89 | 100.0 |
| 0 2 0 | 2.384 | 37.74 | 14.5 |
| 2 0 0 | 2.160 | 41.82 | 10.8 |
| 0 2 4 | 1.949 | 46.60 | 16.1 |
| 1 1 6 | 1.845 | 49.40 | 26.0 |
| 2 0 4 | 1.821 | 50.09 | 12.6 |
| 1 3 2 | 1.457 | 63.91 | 11.9 |
| 2 2 4 | 1.447 | 64.38 | 11.6 |
| 3 1 2 | 1.351 | 69.59 | 9.3 |